Starting from the GGA-PBE geometry in Alexandria, the X-ray diffraction stick pattern of Ti4SnTe was calculated for Cu Kα, 1.54184 Å.

Structure:
Cell: 5.1443 6.7061 7.6683 Å, 74.53 77.60 85.96°
Fractional positions:
Ti (0.0549, 0.4391, 0.3051)
Ti (0.2037, 0.1730, 0.7204)
Ti (0.3330, 0.0145, 0.1547)
Ti (0.4135, 0.3996, 0.8880)
Ti (0.5865, 0.6004, 0.1120)
Ti (0.6670, 0.9855, 0.8453)
Ti (0.7963, 0.8270, 0.2796)
Ti (0.9451, 0.5609, 0.6949)
Sn (0.1407, 0.7571, 0.9529)
Sn (0.8593, 0.2429, 0.0471)
Te (0.0000, 0.0000, 0.5000)
Te (0.5000, 0.5000, 0.5000)

Main lines, by angle (10 to 90 degrees two-theta):
- 2θ 22.3, d = 3.994 Å, I = 31, hkl 1 1 0
- 2θ 25.8, d = 3.459 Å, I = 91, hkl -1 1 1
- 2θ 27.2, d = 3.283 Å, I = 37, hkl 0 2 1
- 2θ 33.2, d = 2.702 Å, I = 45, hkl 0 2 -1
- 2θ 36.7, d = 2.448 Å, I = 65, hkl 1 -2 1
- 2θ 38.6, d = 2.333 Å, I = 100, hkl 1 1 -2
- 2θ 39.3, d = 2.293 Å, I = 52, hkl 2 1 2
- 2θ 40.5, d = 2.228 Å, I = 46, hkl 0 2 3
- 2θ 41.9, d = 2.158 Å, I = 29, hkl -2 1 1
- 2θ 43.1, d = 2.098 Å, I = 44, hkl 1 3 1